[1]
CaCuIrO5: calculated powder XRD pattern (Cu Kα (weighted mean of Kα1 and Kα2)), based on a GGA-PBE-relaxed structure.
No peak broadening, texture or thermal motion is included.

Peak list (12 most intense, 2θ from 10° to 90°, by angle)
d/Å  intensity
4.995  98
4.701  34
3.313  100
2.948  56
2.768  71
2.733  65
2.452  27
2.399  26
2.016  25
1.925  31
1.770  21
1.665  22

Structural model:
abc: 5.6741 5.6741 7.2382
angles: 102.04 102.04 111.90
Positions (direct):
Ca  0.1638  0.8362  0.7500
Ca  0.8362  0.1638  0.2500
Cu  0.1838  0.8162  0.2500
Cu  0.8162  0.1838  0.7500
Ir  0.5000  0.5000  0.0000
Ir  0.5000  0.5000  0.5000
O  0.1393  0.2319  0.9343
O  0.2106  0.5942  0.4038
O  0.2319  0.1393  0.4343
O  0.4058  0.7894  0.0962
O  0.4181  0.5819  0.7500
O  0.5819  0.4181  0.2500
O  0.5942  0.2106  0.9038
O  0.7681  0.8607  0.5657
O  0.7894  0.4058  0.5962
O  0.8607  0.7681  0.0657



[2]
Ca2CuIrO6: calculated powder XRD pattern (Cu Kα (weighted mean of Kα1 and Kα2)), based on a GGA-PBE-relaxed structure.
No peak broadening, texture or thermal motion is included.

Peak list (12 most intense, 2θ from 10° to 90°, by angle)
d/Å  intensity
4.656  100
4.518  31
3.227  13
2.688  35
2.667  13
2.566  9
2.259  10
2.235  9
2.067  10
2.039  13
2.025  9
2.015  9

Structural model:
abc: 6.4616 6.4616 6.5175
angles: 91.62 91.62 92.38
Positions (direct):
Ca  0.0000  0.0000  0.0000
Ca  0.2999  0.3268  0.3739
Ca  0.6732  0.7001  0.6261
Ca  0.8082  0.1918  0.5000
Cu  0.2224  0.7776  0.5000
Cu  0.5656  0.4344  0.0000
Ir  0.4085  0.0891  0.7627
Ir  0.9109  0.5915  0.2373
O  0.0153  0.5604  0.5302
O  0.1299  0.1532  0.6777
O  0.1957  0.6942  0.2144
O  0.3058  0.8043  0.7856
O  0.3762  0.1970  0.0407
O  0.4396  0.9847  0.4698
O  0.5217  0.3774  0.7006
O  0.6226  0.4783  0.2994
O  0.6997  0.0199  0.7996
O  0.8030  0.6238  0.9593
O  0.8468  0.8701  0.3223
O  0.9801  0.3003  0.2004



[3]
CaCuSi2Ir: calculated powder XRD pattern (Cu Kα (weighted mean of Kα1 and Kα2)), based on a GGA-PBE-relaxed structure.
No peak broadening, texture or thermal motion is included.

Peak list (12 most intense, 2θ from 10° to 90°, by angle)
d/Å  intensity
5.014  61
3.783  39
2.888  17
2.587  21
2.503  100
2.042  33
1.892  50
1.798  18
1.583  13
1.447  14
1.251  24
1.148  12

Structural model:
abc: 4.0845 4.0845 10.0275
angles: 90.00 90.00 90.00
Positions (direct):
Ca  0.0000  0.0000  0.0000
Ca  0.5000  0.5000  0.5000
Cu  0.0000  0.5000  0.7500
Cu  0.5000  0.0000  0.2500
Si  0.0000  0.0000  0.3773
Si  0.0000  0.0000  0.6227
Si  0.5000  0.5000  0.1227
Si  0.5000  0.5000  0.8773
Ir  0.0000  0.5000  0.2500
Ir  0.5000  0.0000  0.7500



[4]
CaLaCu10: calculated powder XRD pattern (Cu Kα (weighted mean of Kα1 and Kα2)), based on a GGA-PBE-relaxed structure.
No peak broadening, texture or thermal motion is included.

Peak list (12 most intense, 2θ from 10° to 90°, by angle)
d/Å  intensity
3.010  35
2.567  23
2.233  32
2.218  15
2.183  51
2.173  100
2.041  45
1.959  28
1.506  17
1.398  22
1.284  17
1.202  17

Structural model:
abc: 4.0820 5.1670 8.8735
angles: 90.00 90.00 90.00
Positions (direct):
Ca  0.0000  0.0000  0.0000
La  0.0000  0.5000  0.5000
Cu  0.0000  0.0000  0.3300
Cu  0.0000  0.0000  0.6700
Cu  0.0000  0.5000  0.1622
Cu  0.0000  0.5000  0.8378
Cu  0.5000  0.0000  0.5000
Cu  0.5000  0.2497  0.2486
Cu  0.5000  0.2497  0.7514
Cu  0.5000  0.5000  0.0000
Cu  0.5000  0.7503  0.2486
Cu  0.5000  0.7503  0.7514



[5]
Ca2La2Cu3O8: calculated powder XRD pattern (Cu Kα (weighted mean of Kα1 and Kα2)), based on a GGA-PBE-relaxed structure.
No peak broadening, texture or thermal motion is included.

Peak list (12 most intense, 2θ from 10° to 90°, by angle)
d/Å  intensity
3.864  10
2.762  48
2.716  100
2.349  18
2.120  10
1.953  33
1.889  10
1.586  38
1.560  18
1.381  9
1.358  12
1.231  9

Structural model:
abc: 13.5115 13.5115 13.5115
angles: 163.38 163.38 23.59
Positions (direct):
Ca  0.2042  0.2042  0.0000
Ca  0.7958  0.7958  0.0000
La  0.0688  0.0688  0.0000
La  0.9312  0.9312  0.0000
Cu  0.3628  0.3628  0.0000
Cu  0.5000  0.5000  0.0000
Cu  0.6372  0.6372  0.0000
O  0.0000  0.5000  0.5000
O  0.1228  0.6228  0.5000
O  0.2865  0.2865  0.0000
O  0.3772  0.8772  0.5000
O  0.5000  0.0000  0.5000
O  0.6228  0.1228  0.5000
O  0.7135  0.7135  0.0000
O  0.8772  0.3772  0.5000



[6]
Sr4CaLaTl2Cu4O14: calculated powder XRD pattern (Cu Kα (weighted mean of Kα1 and Kα2)), based on a GGA-PBE-relaxed structure.
No peak broadening, texture or thermal motion is included.

Peak list (12 most intense, 2θ from 10° to 90°, by angle)
d/Å  intensity
3.651  21
3.251  20
2.803  100
2.702  63
2.475  13
2.035  15
1.910  33
1.825  11
1.639  16
1.579  36
1.401  10
1.208  10

Structural model:
abc: 12.9506 12.9506 12.9506
angles: 155.92 155.92 34.32
Positions (direct):
Sr  0.1464  0.1464  0.0000
Sr  0.3512  0.3512  0.0000
Sr  0.6488  0.6488  0.0000
Sr  0.8536  0.8536  0.0000
Ca  0.0000  0.0000  0.0000
La  0.5000  0.5000  0.0000
Tl  0.2500  0.7500  0.5000
Tl  0.7500  0.2500  0.5000
Cu  0.0733  0.5733  0.5000
Cu  0.4267  0.9267  0.5000
Cu  0.5733  0.0733  0.5000
Cu  0.9267  0.4267  0.5000
O  0.1645  0.6645  0.5000
O  0.1840  0.1840  0.4975
O  0.1840  0.6865  0.0000
O  0.2496  0.2496  0.0000
O  0.3135  0.3135  0.4975
O  0.3135  0.8160  0.0000
O  0.3355  0.8355  0.5000
O  0.6645  0.1645  0.5000
O  0.6865  0.1840  0.0000
O  0.6865  0.6865  0.5025
O  0.7504  0.7504  0.0000
O  0.8160  0.3135  0.0000
O  0.8160  0.8160  0.5025
O  0.8355  0.3355  0.5000



[7]
CaLaCu2Si2: calculated powder XRD pattern (Cu Kα (weighted mean of Kα1 and Kα2)), based on a GGA-PBE-relaxed structure.
No peak broadening, texture or thermal motion is included.

Peak list (12 most intense, 2θ from 10° to 90°, by angle)
d/Å  intensity
8.323  21
3.603  9
3.307  31
2.724  100
2.198  8
2.080  55
1.653  21
1.511  6
1.471  25
1.294  27
1.201  6
1.099  5

Structural model:
abc: 4.1604 4.1604 8.3232
angles: 90.00 90.00 120.00
Positions (direct):
Ca  0.0000  0.0000  0.0000
La  0.0000  0.0000  0.5000
Cu  0.3333  0.6667  0.2403
Cu  0.6667  0.3333  0.7597
Si  0.3333  0.6667  0.7499
Si  0.6667  0.3333  0.2501



[8]
Li2Ca2Cu: calculated powder XRD pattern (Cu Kα (weighted mean of Kα1 and Kα2)), based on a GGA-PBE-relaxed structure.
No peak broadening, texture or thermal motion is included.

Peak list (12 most intense, 2θ from 10° to 90°, by angle)
d/Å  intensity
4.637  13
4.311  70
2.878  100
2.792  60
2.624  24
2.395  24
2.242  36
1.829  14
1.818  31
1.769  13
1.560  14
1.500  18

Structural model:
abc: 4.7891 5.2487 9.8941
angles: 90.00 90.00 90.00
Positions (direct):
Li  0.0000  0.2403  0.0000
Li  0.0000  0.7597  0.0000
Li  0.5000  0.2597  0.5000
Li  0.5000  0.7403  0.5000
Ca  0.0000  0.0000  0.3117
Ca  0.0000  0.0000  0.6883
Ca  0.5000  0.5000  0.1883
Ca  0.5000  0.5000  0.8117
Cu  0.0000  0.5000  0.5000
Cu  0.5000  0.0000  0.0000



[9]
Li3CaCu: calculated powder XRD pattern (Cu Kα (weighted mean of Kα1 and Kα2)), based on a GGA-PBE-relaxed structure.
No peak broadening, texture or thermal motion is included.

Peak list (12 most intense, 2θ from 10° to 90°, by angle)
d/Å  intensity
6.886  88
3.648  100
3.579  21
3.400  38
3.056  67
2.751  25
2.677  64
2.353  33
2.094  21
2.006  31
1.899  24
1.816  26

Structural model:
abc: 7.1276 4.1889 7.5663
angles: 90.00 104.98 90.00
Positions (direct):
Li  0.0000  0.0000  0.0000
Li  0.0092  0.0000  0.6299
Li  0.2530  0.5000  0.8899
Li  0.4677  0.0000  0.1693
Li  0.7105  0.5000  0.4265
Li  0.7217  0.5000  0.0568
Ca  0.1637  0.5000  0.3503
Ca  0.5567  0.0000  0.7084
Cu  0.8459  0.0000  0.2763
Cu  0.8745  0.5000  0.7784



[10]
Li3CaCu2: calculated powder XRD pattern (Cu Kα (weighted mean of Kα1 and Kα2)), based on a GGA-PBE-relaxed structure.
No peak broadening, texture or thermal motion is included.

Peak list (12 most intense, 2θ from 10° to 90°, by angle)
d/Å  intensity
4.821  65
4.514  99
3.295  100
2.410  39
2.246  62
2.212  42
2.126  31
2.044  46
2.011  56
1.687  20
1.630  24
1.382  23

Structural model:
abc: 6.6041 6.6041 5.0756
angles: 90.00 90.00 86.24
Positions (direct):
Li  0.0107  0.9893  0.7500
Li  0.0767  0.5681  0.2500
Li  0.4319  0.9233  0.2500
Li  0.5681  0.0767  0.7500
Li  0.9233  0.4319  0.7500
Li  0.9893  0.0107  0.2500
Ca  0.3630  0.6370  0.7500
Ca  0.6370  0.3630  0.2500
Cu  0.2415  0.2415  0.0000
Cu  0.2415  0.2415  0.5000
Cu  0.7585  0.7585  0.0000
Cu  0.7585  0.7585  0.5000



[11]
Li8CaCu2: calculated powder XRD pattern (Cu Kα (weighted mean of Kα1 and Kα2)), based on a GGA-PBE-relaxed structure.
No peak broadening, texture or thermal motion is included.

Peak list (12 most intense, 2θ from 10° to 90°, by angle)
d/Å  intensity
8.671  70
5.474  16
4.336  27
4.081  25
3.691  100
2.971  19
2.885  17
2.402  40
2.358  32
2.041  25
1.785  25
1.543  16

Structural model:
abc: 9.5830 9.5830 9.5830
angles: 144.96 144.96 50.39
Positions (direct):
Li  0.0850  0.0850  0.4952
Li  0.0850  0.5898  0.0000
Li  0.4102  0.4102  0.4952
Li  0.4102  0.9150  0.0000
Li  0.5898  0.0850  0.0000
Li  0.5898  0.5898  0.5048
Li  0.9150  0.4102  0.0000
Li  0.9150  0.9150  0.5048
Ca  0.0000  0.0000  0.0000
Cu  0.2500  0.7500  0.5000
Cu  0.7500  0.2500  0.5000



[12]
LiCaCu17: calculated powder XRD pattern (Cu Kα (weighted mean of Kα1 and Kα2)), based on a GGA-PBE-relaxed structure.
No peak broadening, texture or thermal motion is included.

Peak list (12 most intense, 2θ from 10° to 90°, by angle)
d/Å  intensity
6.336  36
4.251  37
2.454  21
2.376  19
2.125  47
2.112  77
2.074  36
2.062  17
1.891  100
1.864  33
1.227  19
1.205  18

Structural model:
abc: 6.4261 6.4261 6.4261
angles: 82.83 82.83 82.83
Positions (direct):
Li  0.0000  0.0000  0.0000
Ca  0.6839  0.6839  0.6839
Cu  0.0433  0.3374  0.6415
Cu  0.0433  0.6415  0.3374
Cu  0.1837  0.6879  0.6879
Cu  0.2396  0.2396  0.2396
Cu  0.3374  0.0433  0.6415
Cu  0.3374  0.6415  0.0433
Cu  0.3432  0.3432  0.8395
Cu  0.3432  0.8395  0.3432
Cu  0.4358  0.4358  0.4358
Cu  0.4869  0.9978  0.9978
Cu  0.6415  0.0433  0.3374
Cu  0.6415  0.3374  0.0433
Cu  0.6879  0.1837  0.6879
Cu  0.6879  0.6879  0.1837
Cu  0.8395  0.3432  0.3432
Cu  0.9978  0.4869  0.9978
Cu  0.9978  0.9978  0.4869